Starting from a PBE-relaxed structure, the PXRD pattern of NdHgGe was calculated for copper Kα.
Lines closer than 0.1° are merged.

Main lines, by intensity (10° ≤ 2θ ≤ 90°):
| 2θ (°) | intensity | h k l |
| --- | --- | --- |
| 30.78 | 100 | 1 1 1 |
| 33.33 | 50 | 1 5 0 |
| 38.30 | 36 | 0 6 1 |
| 42.25 | 28 | 2 0 0 |
| 63.08 | 25 | 2 0 2 |
| 56.78 | 22 | 1 5 2 |

Crystal structure
Lattice parameters (Å, degrees): 4.2783 17.2778 4.0660 90.00 90.00 90.00
Space group Cmcm (No. 63)
Unique sites:
Nd (0.0000, 0.0976, 0.2500) (multiplicity 4)
Hg (0.0000, 0.2854, 0.2500) (multiplicity 4)
Ge (0.0000, 0.4535, 0.2500) (multiplicity 4)